# Ta2W
Calculated powder X-ray diffraction pattern, Cu Ka. Input: DFT lattice parameters and positions (GGA-PBE).

Cell and atoms:
abc: 5.450 9.307 8.616
angles: 90.00 90.00 90.00
Space group Cmcm (No. 63)
Inequivalent atoms, fractional coordinates:
1 Ta 0.000 0.167 0.059 x8
2 Ta 0.245 0.085 0.750 x8
3 W 0.000 0.332 0.750 x4
4 W 0.000 0.500 0.000 x4

Main lines, low angle first (15 to 90 degrees two-theta):
2θ (°), intensity
33.23, 26.0
36.66, 60.9
36.77, 29.2
39.12, 50.2
39.43, 100.0
39.73, 84.2
40.15, 40.2
41.94, 30.3
43.87, 18.5
63.11, 25.6
67.37, 31.3
69.77, 28.0